Na3Ni5O10: calculated X-ray powder pattern (Cu Kα (weighted mean of Kα1 and Kα2)), based on a GGA+U-relaxed structure.

abc: 4.9077 6.3950 7.1748
angles: 110.06 98.04 105.50
Fractional positions:
Na1 0.0000 0.0000 0.0000
Na2 0.1960 0.3986 0.3950
Na3 0.8040 0.6014 0.6050
Ni1 0.0000 0.5000 0.0000
Ni2 0.2003 0.8995 0.4043
Ni3 0.4037 0.2996 0.7974
Ni4 0.5963 0.7004 0.2026
Ni5 0.7997 0.1005 0.5957
O1 0.0943 0.3994 0.7066
O2 0.1051 0.9908 0.6674
O3 0.2815 0.8145 0.1446
O4 0.3023 0.3950 0.0841
O5 0.4981 0.1996 0.5101
O6 0.5019 0.8004 0.4899
O7 0.6977 0.6050 0.9159
O8 0.7185 0.1855 0.8554
O9 0.8949 0.0092 0.3326
O10 0.9057 0.6006 0.2934

Principal peaks in the range 2θ from 10° to 80°, in order of rising 2θ:
- 2θ 16.15, rel. 100
- 2θ 32.64, rel. 13
- 2θ 35.47, rel. 8
- 2θ 37.10, rel. 13
- 2θ 37.78, rel. 6
- 2θ 41.20, rel. 24
- 2θ 42.99, rel. 42
- 2θ 54.21, rel. 10
- 2θ 57.80, rel. 6
- 2θ 66.49, rel. 9


ZnFe2O4: calculated X-ray powder pattern (Cu Kα (weighted mean of Kα1 and Kα2)), based on a GGA+U-relaxed structure.

abc: 20.0125 20.0125 20.0125
angles: 17.41 17.41 17.41
Fractional positions:
Zn1 0.0000 0.0000 0.0000
Zn2 0.0603 0.0603 0.0603
Zn3 0.2497 0.2497 0.2497
Zn4 0.3111 0.3111 0.3111
Zn5 0.4048 0.4048 0.4048
Zn6 0.4992 0.4992 0.4992
Zn7 0.5616 0.5616 0.5616
Zn8 0.8116 0.8116 0.8116
Fe1 0.0305 0.0305 0.5307
Fe2 0.0305 0.5307 0.0305
Fe3 0.0344 0.5285 0.5285
Fe4 0.1557 0.1557 0.1557
Fe5 0.2794 0.2794 0.7827
Fe6 0.2794 0.7827 0.2794
Fe7 0.2805 0.7806 0.7806
Fe8 0.5285 0.0344 0.5285
Fe9 0.5285 0.5285 0.0344
Fe10 0.5307 0.0305 0.0305
Fe11 0.6556 0.6556 0.6556
Fe12 0.7498 0.7498 0.7498
Fe13 0.7806 0.2805 0.7806
Fe14 0.7806 0.7806 0.2805
Fe15 0.7827 0.2794 0.2794
Fe16 0.9056 0.9056 0.9056
O1 0.0796 0.0796 0.6221
O2 0.0796 0.6221 0.0796
O3 0.0953 0.0953 0.0953
O4 0.1071 0.5884 0.5884
O5 0.1889 0.7311 0.7311
O6 0.2155 0.2155 0.2155
O7 0.2272 0.2272 0.6938
O8 0.2272 0.6937 0.2272
O9 0.3300 0.3300 0.8715
O10 0.3300 0.8715 0.3300
O11 0.3451 0.3451 0.3451
O12 0.3743 0.8285 0.8285
O13 0.4382 0.9816 0.9816
O14 0.4650 0.4650 0.4650
O15 0.4809 0.4809 0.9391
O16 0.4809 0.9391 0.4809
O17 0.5884 0.1071 0.5884
O18 0.5884 0.5884 0.1071
O19 0.5955 0.5955 0.5955
O20 0.6221 0.0796 0.0796
O21 0.6938 0.2272 0.2272
O22 0.7168 0.7168 0.7168
O23 0.7311 0.1889 0.7311
O24 0.7311 0.7311 0.1889
O25 0.8285 0.3743 0.8285
O26 0.8285 0.8285 0.3743
O27 0.8454 0.8454 0.8454
O28 0.8715 0.3300 0.3300
O29 0.9391 0.4809 0.4809
O30 0.9656 0.9656 0.9656
O31 0.9816 0.4382 0.9816
O32 0.9816 0.9816 0.4382

Principal peaks in the range 2θ from 10° to 80°, in order of rising 2θ:
- 2θ 29.53, rel. 46
- 2θ 34.76, rel. 100
- 2θ 34.84, rel. 36
- 2θ 36.34, rel. 8
- 2θ 42.25, rel. 20
- 2θ 52.35, rel. 12
- 2θ 55.81, rel. 38
- 2θ 55.92, rel. 11
- 2θ 61.20, rel. 30
- 2θ 61.38, rel. 29


Sr3La7Mn7Fe3O30: calculated X-ray powder pattern (Cu Kα (weighted mean of Kα1 and Kα2)), based on a GGA+U-relaxed structure.

abc: 5.5407 7.8760 14.7673
angles: 105.23 100.68 90.78
Fractional positions:
Sr1 0.0000 0.0000 0.0000
Sr2 0.1969 0.1964 0.3941
Sr3 0.5983 0.5972 0.1960
La1 0.0014 0.4992 0.0011
La2 0.1963 0.6962 0.3932
La3 0.3976 0.8982 0.7989
La4 0.4030 0.3971 0.7994
La5 0.5980 0.0976 0.1971
La6 0.7965 0.7977 0.5961
La7 0.7978 0.2953 0.5930
Mn1 0.0975 0.8488 0.1965
Mn2 0.0988 0.3478 0.1972
Mn3 0.4988 0.7488 0.9977
Mn4 0.5000 0.2484 0.9984
Mn5 0.6970 0.9478 0.3958
Mn6 0.6988 0.4469 0.3962
Mn7 0.8988 0.6477 0.7972
Fe1 0.2970 0.5459 0.5954
Fe2 0.2995 0.0467 0.5954
Fe3 0.9007 0.1459 0.7981
O1 0.0114 0.4687 0.4890
O2 0.0638 0.6244 0.6878
O3 0.0877 0.5863 0.1749
O4 0.1088 0.1071 0.2140
O5 0.1356 0.0721 0.7092
O6 0.1812 0.2385 0.9065
O7 0.2172 0.6578 0.8813
O8 0.2685 0.8128 0.0875
O9 0.2886 0.7835 0.5721
O10 0.3103 0.3107 0.6223
O11 0.3369 0.2727 0.1061
O12 0.3807 0.4357 0.3116
O13 0.4202 0.8694 0.2898
O14 0.4786 0.0169 0.4881
O15 0.4849 0.9857 0.9717
O16 0.5092 0.5053 0.0125
O17 0.5416 0.4782 0.5108
O18 0.5783 0.6355 0.7106
O19 0.6227 0.0610 0.6869
O20 0.6652 0.2202 0.8859
O21 0.6869 0.1861 0.3735
O22 0.7125 0.7099 0.4217
O23 0.7324 0.6631 0.9032
O24 0.7772 0.8330 0.1079
O25 0.8137 0.2710 0.0853
O26 0.8694 0.4190 0.2908
O27 0.8814 0.3886 0.7704
O28 0.9126 0.9013 0.8169
O29 0.9309 0.8745 0.3106
O30 0.9705 0.0288 0.5094

Principal peaks in the range 2θ from 10° to 80°, in order of rising 2θ:
- 2θ 22.59, rel. 21
- 2θ 32.01, rel. 97
- 2θ 32.32, rel. 100
- 2θ 39.54, rel. 24
- 2θ 46.11, rel. 42
- 2θ 46.17, rel. 21
- 2θ 57.17, rel. 21
- 2θ 57.27, rel. 26
- 2θ 57.83, rel. 19
- 2θ 67.64, rel. 18


Li9Co7O16: calculated X-ray powder pattern (Cu Kα (weighted mean of Kα1 and Kα2)), based on a GGA+U-relaxed structure.

abc: 5.1027 7.6451 7.7585
angles: 97.55 102.58 102.91
Fractional positions:
Li1 0.0000 0.0000 0.0000
Li2 0.0000 0.5000 0.5000
Li3 0.0026 0.1186 0.3759
Li4 0.0026 0.3727 0.1230
Li5 0.0079 0.7537 0.2528
Li6 0.5000 0.0000 0.5000
Li7 0.9921 0.2463 0.7472
Li8 0.9974 0.6273 0.8770
Li9 0.9974 0.8814 0.6241
Co1 0.4973 0.2431 0.2547
Co2 0.4974 0.6266 0.3769
Co3 0.4993 0.8757 0.1291
Co4 0.5000 0.5000 0.0000
Co5 0.5007 0.1243 0.8709
Co6 0.5026 0.3734 0.6231
Co7 0.5027 0.7569 0.7453
O1 0.2639 0.8717 0.8782
O2 0.2658 0.0094 0.2468
O3 0.2686 0.6243 0.1415
O4 0.2725 0.2586 0.0002
O5 0.2761 0.1464 0.6345
O6 0.2770 0.7366 0.4933
O7 0.2812 0.3872 0.3894
O8 0.2855 0.5010 0.7448
O9 0.7145 0.4990 0.2552
O10 0.7188 0.6128 0.6106
O11 0.7230 0.2634 0.5067
O12 0.7239 0.8536 0.3655
O13 0.7275 0.7414 0.9998
O14 0.7314 0.3757 0.8585
O15 0.7342 0.9906 0.7532
O16 0.7361 0.1283 0.1218

Principal peaks in the range 2θ from 10° to 80°, in order of rising 2θ:
- 2θ 18.45, rel. 100
- 2θ 35.95, rel. 28
- 2θ 36.53, rel. 13
- 2θ 37.66, rel. 8
- 2θ 43.56, rel. 55
- 2θ 44.25, rel. 26
- 2θ 47.86, rel. 9
- 2θ 57.53, rel. 12
- 2θ 63.24, rel. 8
- 2θ 63.38, rel. 15


MgV4Pb2O12: calculated X-ray powder pattern (Cu Kα (weighted mean of Kα1 and Kα2)), based on a GGA+U-relaxed structure.

abc: 8.4371 8.4371 10.3400
angles: 107.39 107.39 25.90
Fractional positions:
Mg1 0.0000 0.0000 0.0000
V1 0.0564 0.0564 0.3627
V2 0.3721 0.3721 0.6207
V3 0.6234 0.6234 0.1784
V4 0.8080 0.8080 0.8049
Pb1 0.1061 0.1061 0.7553
Pb2 0.3362 0.3362 0.2387
O1 0.0925 0.0925 0.1919
O2 0.1066 0.1066 0.5297
O3 0.3056 0.3056 0.7502
O4 0.3214 0.3214 0.4491
O5 0.4788 0.4788 0.6549
O6 0.5444 0.5444 0.0045
O7 0.5757 0.5757 0.3301
O8 0.6926 0.6926 0.7915
O9 0.7317 0.7317 0.1947
O10 0.8647 0.8647 0.6637
O11 0.8779 0.8779 0.9694
O12 0.9490 0.9490 0.3293

Principal peaks in the range 2θ from 10° to 80°, in order of rising 2θ:
- 2θ 12.10, rel. 48
- 2θ 18.03, rel. 100
- 2θ 22.72, rel. 76
- 2θ 24.20, rel. 35
- 2θ 26.03, rel. 60
- 2θ 26.49, rel. 35
- 2θ 28.94, rel. 64
- 2θ 31.41, rel. 29
- 2θ 45.59, rel. 34
- 2θ 48.12, rel. 28